No. 1
Simulated powder XRD pattern
Compound: Si23Ir4
Radiation: λ = 1.5418 Å (Cu Kα)
Structure: the PBE geometry in Alexandria
Intensities are scaled so that the largest is 100.

Cell and atoms:
```
Si23Ir4
1.0
10.0023 0.0000 0.0000
0.0000 10.0023 0.0000
0.0000 0.0000 10.0023
Si Ir
46 8
Direct
0.0000 0.1144 0.3158
0.0000 0.1144 0.6842
0.0000 0.2500 0.5000
0.0000 0.7500 0.5000
0.0000 0.8856 0.3158
0.0000 0.8856 0.6842
0.1144 0.3158 0.0000
0.1144 0.6842 0.0000
0.1790 0.1790 0.1790
0.1790 0.1790 0.8210
0.1790 0.8210 0.1790
0.1790 0.8210 0.8210
0.1842 0.3856 0.5000
0.1842 0.6144 0.5000
0.2500 0.5000 0.0000
0.3158 0.0000 0.1144
0.3158 0.0000 0.8856
0.3210 0.3210 0.3210
0.3210 0.3210 0.6790
0.3210 0.6790 0.3210
0.3210 0.6790 0.6790
0.3856 0.5000 0.1842
0.3856 0.5000 0.8158
0.5000 0.0000 0.2500
0.5000 0.0000 0.7500
0.5000 0.1842 0.3856
0.5000 0.1842 0.6144
0.5000 0.8158 0.3856
0.5000 0.8158 0.6144
0.6144 0.5000 0.1842
0.6144 0.5000 0.8158
0.6790 0.3210 0.3210
0.6790 0.3210 0.6790
0.6790 0.6790 0.3210
0.6790 0.6790 0.6790
0.6842 0.0000 0.1144
0.6842 0.0000 0.8856
0.7500 0.5000 0.0000
0.8158 0.3856 0.5000
0.8158 0.6144 0.5000
0.8210 0.1790 0.1790
0.8210 0.1790 0.8210
0.8210 0.8210 0.1790
0.8210 0.8210 0.8210
0.8856 0.3158 0.0000
0.8856 0.6842 0.0000
0.0000 0.0000 0.0000
0.0000 0.5000 0.2500
0.0000 0.5000 0.7500
0.2500 0.0000 0.5000
0.5000 0.2500 0.0000
0.5000 0.5000 0.5000
0.5000 0.7500 0.0000
0.7500 0.0000 0.5000
```

Principal peaks in the range 2θ from 15° to 90°, by intensity:
33.52°, intensity 100, hkl 3 2 1
19.85°, intensity 48, hkl 2 1 0
32.27°, intensity 45, hkl 3 2 0
21.76°, intensity 41, hkl 2 1 1
56.73°, intensity 35, hkl 5 3 2
35.91°, intensity 24, hkl 4 0 0
30.97°, intensity 24, hkl 2 2 2
17.73°, intensity 21, hkl 2 0 0

***

No. 2
Simulated powder XRD pattern
Compound: Si4Ir3
Radiation: λ = 1.5418 Å (Cu Kα)
Structure: the PBE geometry in Alexandria
Intensities are scaled so that the largest is 100.

Cell and atoms:
```
Si4Ir3
1.0
19.0139 0.0000 0.0000
0.0000 3.7348 0.0000
0.0000 0.0000 5.8324
Si Ir
16 12
Direct
0.0498 0.2500 0.0272
0.0909 0.2500 0.5744
0.1439 0.7500 0.1109
0.2302 0.2500 0.2849
0.2698 0.7500 0.7849
0.3561 0.2500 0.6109
0.4091 0.7500 0.0744
0.4502 0.7500 0.5272
0.5498 0.2500 0.4728
0.5909 0.2500 0.9256
0.6439 0.7500 0.3891
0.7302 0.2500 0.2151
0.7698 0.7500 0.7151
0.8561 0.2500 0.8891
0.9091 0.7500 0.4256
0.9502 0.7500 0.9728
0.0313 0.7500 0.3047
0.1739 0.2500 0.8920
0.1761 0.7500 0.4998
0.3239 0.2500 0.9998
0.3261 0.7500 0.3920
0.4687 0.2500 0.8047
0.5313 0.7500 0.1953
0.6739 0.2500 0.6080
0.6761 0.7500 0.0002
0.8239 0.2500 0.5002
0.8261 0.7500 0.1080
0.9687 0.2500 0.6953
```

Principal peaks in the range 2θ from 15° to 90°, by intensity:
28.77°, intensity 100, hkl 1 1 1
44.05°, intensity 77, hkl 7 1 1
28.38°, intensity 56, hkl 0 1 1
28.16°, intensity 51, hkl 6 0 0
41.80°, intensity 46, hkl 3 1 2
24.15°, intensity 42, hkl 4 0 1
43.75°, intensity 36, hkl 4 1 2
48.77°, intensity 34, hkl 0 2 0

***

No. 3
Simulated powder XRD pattern
Compound: Si23Ir3
Radiation: λ = 1.5418 Å (Cu Kα)
Structure: the PBE geometry in Alexandria
Intensities are scaled so that the largest is 100.

Cell and atoms:
```
Si23Ir3
1.0
10.0548 0.0000 0.0000
0.0000 10.0548 0.0000
0.0000 0.0000 10.0548
Si Ir
46 6
Direct
0.0000 0.1149 0.3133
0.0000 0.1149 0.6867
0.0000 0.2500 0.5000
0.0000 0.7500 0.5000
0.0000 0.8851 0.3133
0.0000 0.8851 0.6867
0.1149 0.3133 0.0000
0.1149 0.6867 0.0000
0.1838 0.1838 0.1838
0.1838 0.1838 0.8162
0.1838 0.8162 0.1838
0.1838 0.8162 0.8162
0.1867 0.3851 0.5000
0.1867 0.6149 0.5000
0.2500 0.5000 0.0000
0.3133 0.0000 0.1149
0.3133 0.0000 0.8851
0.3162 0.3162 0.3162
0.3162 0.3162 0.6838
0.3162 0.6838 0.3162
0.3162 0.6838 0.6838
0.3851 0.5000 0.1867
0.3851 0.5000 0.8133
0.5000 0.0000 0.2500
0.5000 0.0000 0.7500
0.5000 0.1867 0.3851
0.5000 0.1867 0.6149
0.5000 0.8133 0.3851
0.5000 0.8133 0.6149
0.6149 0.5000 0.1867
0.6149 0.5000 0.8133
0.6838 0.3162 0.3162
0.6838 0.3162 0.6838
0.6838 0.6838 0.3162
0.6838 0.6838 0.6838
0.6867 0.0000 0.1149
0.6867 0.0000 0.8851
0.7500 0.5000 0.0000
0.8133 0.3851 0.5000
0.8133 0.6149 0.5000
0.8162 0.1838 0.1838
0.8162 0.1838 0.8162
0.8162 0.8162 0.1838
0.8162 0.8162 0.8162
0.8851 0.3133 0.0000
0.8851 0.6867 0.0000
0.0000 0.5000 0.2500
0.0000 0.5000 0.7500
0.2500 0.0000 0.5000
0.5000 0.2500 0.0000
0.5000 0.7500 0.0000
0.7500 0.0000 0.5000
```

Principal peaks in the range 2θ from 15° to 90°, by intensity:
19.74°, intensity 100, hkl 2 1 0
32.10°, intensity 95, hkl 3 2 0
30.81°, intensity 91, hkl 2 2 2
33.34°, intensity 83, hkl 3 2 1
53.11°, intensity 42, hkl 5 3 0
48.77°, intensity 39, hkl 5 2 0
41.14°, intensity 34, hkl 4 2 1
56.41°, intensity 32, hkl 5 3 2